This entry pairs a crystal structure of Li5Co3O8 with its theoretical XRD peak list. Radiation: Cu Ka. Structure: a cell relaxed with PBE+U.

Top 10 peaks for 2θ from 10° to 90°, by angle:
2θ (°), d (Å), I_rel
11.62, 7.616, 25
14.25, 6.214, 13
18.32, 4.842, 11
18.53, 4.788, 100
36.32, 2.473, 29
37.14, 2.421, 11
43.73, 2.070, 61
45.24, 2.004, 26
64.35, 1.448, 15
65.12, 1.432, 14

Crystal structure
Cell lengths 6.382, 6.382, 9.774 Å; angles 127.62, 127.62, 26.32 degrees
Element x y z (fractional)
1 Li 0.000 0.000 0.000
2 Li 0.127 0.127 0.376
3 Li 0.378 0.378 0.121
4 Li 0.622 0.622 0.879
5 Li 0.873 0.873 0.624
6 Co 0.260 0.260 0.758
7 Co 0.500 0.500 0.500
8 Co 0.740 0.740 0.242
9 O 0.063 0.063 0.667
10 O 0.197 0.197 0.081
11 O 0.318 0.318 0.428
12 O 0.422 0.422 0.803
13 O 0.578 0.578 0.197
14 O 0.682 0.682 0.572
15 O 0.803 0.803 0.919
16 O 0.937 0.937 0.333